No. 1
Starting from DFT lattice parameters and positions (GGA+U), the powder diffractogram of Li3Si2Ni2O8 was computed for Cu Kα (λ = 1.5418 Å).
Peak positions follow from Bragg's law for the DFT cell and can differ from measured ones.

Main lines, by angle (10 to 90 degrees two-theta):
d (Å), Position (°2θ), I/Imax
4.106, 21.64, 81
3.926, 22.65, 100
3.154, 28.29, 12
2.750, 32.56, 39
2.672, 33.54, 26
2.483, 36.18, 39
2.411, 37.30, 18
2.401, 37.45, 19
1.603, 57.47, 19
1.557, 59.35, 22

Structure:
a = 4.9654 Å, b = 5.3437 Å, c = 6.4151 Å
α = 89.99°, β = 89.88°, γ = 89.50°
Space group P1 (No. 1)
Asymmetric unit:
Li  0.0000  0.0000  0.0000
Li  0.0056  0.5238  0.7375
Li  0.4973  0.3489  0.4890
Si  0.4884  0.8614  0.7446
Si  0.9963  0.5073  0.2421
Ni  0.5022  0.3508  0.9903
Ni  0.9985  0.0051  0.4814
O  0.0642  0.8013  0.2397
O  0.1010  0.3723  0.4583
O  0.1226  0.3682  0.0278
O  0.1574  0.8616  0.7412
O  0.5950  0.5630  0.7635
O  0.5965  0.0213  0.9501
O  0.6103  0.0004  0.5416
O  0.6670  0.4552  0.2290

---

No. 2
Starting from DFT lattice parameters and positions (GGA+U), the powder diffractogram of Li4Ti3V3Fe2O16 was computed for Cu Kα (λ = 1.5418 Å).
Peak positions follow from Bragg's law for the DFT cell and can differ from measured ones.

Main lines, by angle (10 to 90 degrees two-theta):
d (Å), Position (°2θ), I/Imax
4.856, 18.27, 100
4.530, 19.60, 97
4.512, 19.68, 80
2.740, 32.68, 37
2.530, 35.48, 36
2.516, 35.68, 68
2.468, 36.40, 60
2.260, 39.88, 37
2.000, 45.33, 47
1.476, 62.96, 48

Structure:
a = 10.2397 Å, b = 5.8845 Å, c = 9.7124 Å
α = 90.00°, β = 90.41°, γ = 90.00°
Space group Cm (No. 8)
Asymmetric unit:
Li  0.0000  0.0000  0.0000
Li  0.0019  0.0000  0.4961
Li  0.1668  0.5000  0.8940
Li  0.3317  0.0000  0.3934
Ti  0.3319  0.5000  0.2226
Ti  0.4132  0.2451  0.7204
V  0.0839  0.2629  0.2125
V  0.1697  0.0000  0.7126
Fe  0.1663  0.5000  0.4964
Fe  0.3299  0.0000  0.9970
O  0.0007  0.0000  0.8154
O  0.0024  0.0000  0.3109
O  0.0162  0.5000  0.3357
O  0.0841  0.2405  0.6069
O  0.1590  0.0000  0.1096
O  0.1707  0.5000  0.1007
O  0.2395  0.2805  0.3354
O  0.2591  0.2202  0.8354
O  0.3379  0.0000  0.6038
O  0.3388  0.5000  0.6046
O  0.4203  0.2509  0.1055
O  0.4823  0.0000  0.8355

---

No. 3
Starting from DFT lattice parameters and positions (GGA+U), the powder diffractogram of MgMn6Nb4O18 was computed for Cu Kα (λ = 1.5418 Å).
Peak positions follow from Bragg's law for the DFT cell and can differ from measured ones.

Main lines, by angle (10 to 90 degrees two-theta):
d (Å), Position (°2θ), I/Imax
4.713, 18.83, 52
4.624, 19.20, 48
4.557, 19.48, 51
3.918, 22.70, 38
2.908, 30.75, 100
2.900, 30.83, 68
2.717, 32.96, 63
2.677, 33.48, 60
2.628, 34.12, 53
1.809, 50.45, 41

Structure:
a = 5.2561 Å, b = 5.3582 Å, c = 14.9357 Å
α = 89.05°, β = 89.84°, γ = 61.61°
Space group P1 (No. 1)
Asymmetric unit:
Mg  0.0000  0.0000  0.0000
Mn  0.0232  0.9524  0.6307
Mn  0.0324  0.9354  0.8289
Mn  0.0384  0.9561  0.3769
Mn  0.3165  0.3088  0.1752
Mn  0.3623  0.2857  0.6649
Mn  0.9866  0.9744  0.1808
Nb  0.6632  0.6518  0.0212
Nb  0.6729  0.6150  0.3161
Nb  0.6921  0.6264  0.5236
Nb  0.7009  0.6034  0.8137
O  0.0110  0.2743  0.7568
O  0.0221  0.5971  0.5850
O  0.3089  0.9597  0.2698
O  0.3257  0.6914  0.0816
O  0.3507  0.8776  0.9097
O  0.3735  0.6313  0.7506
O  0.3846  0.6603  0.4199
O  0.3964  0.9388  0.5859
O  0.6554  0.3182  0.2486
O  0.6806  0.3178  0.5861
O  0.6898  0.9594  0.0785
O  0.7455  0.9190  0.7519
O  0.7516  0.8674  0.4166
O  0.7544  0.3419  0.9193
O  0.9088  0.7358  0.9153
O  0.9097  0.3408  0.4128
O  0.9695  0.3249  0.0828
O  0.9742  0.6425  0.2490

---

No. 4
Starting from DFT lattice parameters and positions (GGA+U), the powder diffractogram of Li2Fe3CoO8 was computed for Cu Kα (λ = 1.5418 Å).
Peak positions follow from Bragg's law for the DFT cell and can differ from measured ones.

Main lines, by angle (10 to 90 degrees two-theta):
d (Å), Position (°2θ), I/Imax
4.835, 18.35, 100
2.536, 35.40, 17
2.527, 35.53, 16
2.512, 35.75, 16
2.417, 37.20, 12
2.106, 42.94, 19
2.096, 43.16, 18
2.079, 43.54, 18
1.486, 62.52, 11
1.479, 62.81, 11

Structure:
a = 8.3141 Å, b = 8.4249 Å, c = 8.3833 Å
α = 90.00°, β = 90.08°, γ = 90.00°
Space group P2_1 (No. 4)
Asymmetric unit:
Li  0.0023  0.0000  0.2476
Li  0.2476  0.7535  0.0026
Li  0.2524  0.2486  0.5024
Li  0.4979  0.0050  0.7477
Fe  0.1222  0.3765  0.1224
Fe  0.1248  0.6288  0.3723
Fe  0.1282  0.8800  0.6242
Fe  0.3721  0.1237  0.1238
Fe  0.3749  0.3745  0.8714
Fe  0.3776  0.6270  0.6230
Co  0.1245  0.1265  0.8750
Co  0.3762  0.8768  0.3754
O  0.1019  0.6179  0.1309
O  0.1122  0.3869  0.3622
O  0.1158  0.1198  0.6464
O  0.1175  0.8991  0.8654
O  0.1313  0.1360  0.1029
O  0.1332  0.3536  0.8825
O  0.1402  0.6380  0.6141
O  0.1486  0.8707  0.3838
O  0.3517  0.1321  0.8832
O  0.3607  0.3664  0.1127
O  0.3666  0.6498  0.3839
O  0.3689  0.8682  0.6026
O  0.3843  0.1042  0.3655
O  0.3842  0.8828  0.1479
O  0.3870  0.6166  0.8613
O  0.3970  0.3855  0.6308

---

No. 5
Starting from DFT lattice parameters and positions (GGA+U), the powder diffractogram of K2Fe2P2O7F2 was computed for Cu Kα (λ = 1.5418 Å).
Peak positions follow from Bragg's law for the DFT cell and can differ from measured ones.

Main lines, by angle (10 to 90 degrees two-theta):
d (Å), Position (°2θ), I/Imax
5.305, 16.71, 19
5.116, 17.33, 24
3.025, 29.53, 48
2.945, 30.35, 17
2.815, 31.79, 52
2.673, 33.53, 100
2.432, 36.97, 17
2.237, 40.31, 23
1.827, 49.91, 19
1.639, 56.12, 19

Structure:
a = 7.0816 Å, b = 10.3204 Å, c = 10.6100 Å
α = 90.00°, β = 90.00°, γ = 90.00°
Space group Pbcn (No. 60)
Asymmetric unit:
K  0.0695  0.1638  0.0536
Fe  0.0000  0.3389  0.7500
Fe  0.0000  0.5000  0.0000
P  0.2097  0.0713  0.7544
O  0.0000  0.0071  0.2500
O  0.1360  0.1846  0.6611
O  0.1563  0.4924  0.6608
O  0.2342  0.4958  0.8843
F  0.1768  0.2920  0.3333

---

No. 6
Starting from DFT lattice parameters and positions (GGA+U), the powder diffractogram of Fe5O7F3 was computed for Cu Kα (λ = 1.5418 Å).
Peak positions follow from Bragg's law for the DFT cell and can differ from measured ones.

Main lines, by angle (10 to 90 degrees two-theta):
d (Å), Position (°2θ), I/Imax
3.337, 26.72, 94
3.252, 27.43, 93
2.546, 35.24, 100
2.329, 38.66, 17
1.731, 52.90, 55
1.707, 53.71, 53
1.668, 55.04, 15
1.626, 56.61, 15
1.521, 60.92, 16
1.383, 67.74, 39

Structure:
a = 4.6551 Å, b = 4.6634 Å, c = 15.2065 Å
α = 90.00°, β = 90.03°, γ = 91.48°
Space group P-1 (No. 2)
Asymmetric unit:
Fe  0.0000  0.0000  0.0000
Fe  0.0134  0.9700  0.2065
Fe  0.0203  0.9788  0.4013
Fe  0.4797  0.5124  0.2999
Fe  0.4835  0.4676  0.9053
Fe  0.5000  0.5000  0.5000
O  0.1755  0.1821  0.8998
O  0.1914  0.2059  0.6950
O  0.1937  0.1924  0.4998
O  0.1996  0.1860  0.3030
O  0.2996  0.6989  0.9978
O  0.3137  0.6804  0.4043
O  0.3211  0.6922  0.1980
F  0.2097  0.2030  0.1039
F  0.2932  0.6974  0.7999
F  0.3004  0.7031  0.6014

---

No. 7
Starting from DFT lattice parameters and positions (GGA+U), the powder diffractogram of ZnNi2O4 was computed for Cu Kα (λ = 1.5418 Å).
Peak positions follow from Bragg's law for the DFT cell and can differ from measured ones.

Main lines, by angle (10 to 90 degrees two-theta):
d (Å), Position (°2θ), I/Imax
4.792, 18.51, 8
2.935, 30.46, 33
2.503, 35.88, 100
2.396, 37.54, 10
2.075, 43.62, 15
1.694, 54.13, 11
1.597, 57.71, 37
1.467, 63.39, 42
1.266, 75.04, 10
1.109, 88.06, 6

Structure:
a = 8.3005 Å, b = 8.3005 Å, c = 8.3005 Å
α = 90.00°, β = 90.00°, γ = 90.00°
Space group Fd-3m (No. 227, origin choice 2)
Asymmetric unit:
Zn  0.1250  0.1250  0.1250
Ni  0.0000  0.0000  0.5000
O  0.0124  0.0124  0.7376

---

No. 8
Starting from DFT lattice parameters and positions (GGA+U), the powder diffractogram of LiVSiO4 was computed for Cu Kα (λ = 1.5418 Å).
Peak positions follow from Bragg's law for the DFT cell and can differ from measured ones.

Main lines, by angle (10 to 90 degrees two-theta):
d (Å), Position (°2θ), I/Imax
4.115, 21.59, 100
3.410, 26.13, 12
3.239, 27.54, 7
2.846, 31.44, 9
2.742, 32.66, 6
2.582, 34.75, 34
2.410, 37.31, 5
2.186, 41.31, 13
1.704, 53.81, 7
1.536, 60.24, 6

Structure:
a = 10.3225 Å, b = 5.1648 Å, c = 13.6291 Å
α = 90.00°, β = 90.00°, γ = 90.00°
Space group Pca2_1 (No. 29)
Asymmetric unit:
Li  0.0341  0.0855  0.0000
Li  0.2179  0.4403  0.2480
V  0.0403  0.9304  0.2497
V  0.2144  0.4430  0.4976
Si  0.0332  0.5727  0.8744
Si  0.2132  0.9436  0.6262
O  0.0038  0.8857  0.8705
O  0.0355  0.5475  0.4737
O  0.0345  0.5632  0.2775
O  0.0562  0.9972  0.6317
O  0.1890  0.5107  0.8779
O  0.2150  0.0583  0.2249
O  0.2306  0.0933  0.0282
O  0.2470  0.6330  0.6189